(1)
Structure and computed X-ray diffraction stick pattern of Co7CuAs4H4O20 (a crystal structure in the Materials Project, relaxed with PBE+U; Cu Ka).
Lines closer than 0.1° are merged.

Structural model:
```
36
Lattice="8.452 0.000 0.000 0.000 6.152 0.000 -0.014 0.000 8.573" Properties=species:S:1:pos:R:3 pbc="T T T"
Co 0.000 0.000 0.000
Co 1.134 1.513 5.370
Co 1.134 4.638 5.370
Co 2.295 0.000 2.199
Co 4.226 3.076 6.485
Co 5.379 1.553 1.105
Co 5.379 4.599 1.105
Cu 6.478 3.076 4.223
As 3.243 0.000 7.564
As 3.267 3.076 3.277
As 7.464 3.076 7.463
As 7.518 0.000 3.230
H 2.977 0.000 4.612
H 3.571 3.076 0.321
H 7.209 3.076 1.918
H 7.778 0.000 6.157
O 0.239 0.000 6.499
O 0.290 0.000 2.009
O 0.524 3.076 6.633
O 1.772 3.076 4.135
O 2.013 0.000 0.183
O 2.061 0.000 4.281
O 3.084 1.393 6.556
O 3.084 4.759 6.556
O 3.449 1.687 2.260
O 3.449 4.465 2.260
O 4.495 3.076 0.005
O 4.493 3.076 4.486
O 4.742 0.000 8.432
O 6.020 0.000 2.349
O 6.233 3.076 6.236
O 6.287 3.076 2.253
O 7.285 1.697 8.499
O 7.285 4.455 8.499
O 7.710 1.399 4.226
O 7.710 4.753 4.226
```

Most intense lines, 2θ = 15–90°, by angle:
| Position (°2θ) | intensity |
| --- | --- |
| 17.8 | 100 |
| 20.7 | 60 |
| 29.7 | 92 |
| 32.7 | 53 |
| 33.1 | 32 |
| 35.9 | 53 |
| 36.1 | 27 |
| 36.3 | 53 |
| 36.6 | 47 |
| 56.7 | 39 |

(2)
Structure and computed X-ray diffraction stick pattern of KCo3CuAs3O12 (a crystal structure in the Materials Project, relaxed with PBE+U; Cu Ka).
Lines closer than 0.1° are merged.

Structural model:
```
40
Lattice="6.201 -6.461 0.000 6.201 6.461 0.000 -2.764 0.000 6.347" Properties=species:S:1:pos:R:3 pbc="T T T"
K 4.129 6.283 4.760
K 5.510 -6.283 1.587
Co 0.969 2.041 3.994
Co 5.510 3.116 1.587
Co 2.351 -2.041 0.820
Co 7.288 2.041 5.526
Co 4.129 -3.116 4.760
Co 8.670 -2.041 2.353
Cu 4.129 0.027 4.760
Cu 5.510 -0.027 1.587
As 2.594 1.489 0.808
As 4.129 2.772 4.760
As 1.212 -1.489 3.982
As 8.427 1.489 2.365
As 5.510 -2.772 1.587
As 7.045 -1.489 5.538
O 3.882 4.266 0.753
O 1.821 2.444 2.028
O 4.283 3.725 3.321
O 0.497 0.062 3.974
O 1.879 -0.062 0.800
O 3.974 3.725 6.199
O 4.300 1.447 1.180
O 2.875 1.549 4.685
O 7.139 4.266 2.421
O 0.439 -2.444 5.201
O 5.382 1.549 4.835
O 2.918 -1.447 4.354
O 6.721 1.447 1.993
O 4.257 -1.549 1.512
O 9.200 2.444 1.146
O 2.501 -4.266 3.926
O 6.764 -1.549 1.662
O 5.339 -1.447 5.167
O 5.665 -3.725 0.148
O 7.760 0.062 5.547
O 9.142 -0.062 2.373
O 5.356 -3.725 3.026
O 7.819 -2.444 4.319
O 5.757 -4.266 5.594
```

Most intense lines, 2θ = 15–90°, by angle:
| Position (°2θ) | intensity |
| --- | --- |
| 24.5 | 28 |
| 26.9 | 72 |
| 28.1 | 36 |
| 31.5 | 60 |
| 31.9 | 100 |
| 32.9 | 37 |
| 33.4 | 20 |
| 53.4 | 23 |
| 53.5 | 20 |
| 56.3 | 21 |

(3)
Structure and computed X-ray diffraction stick pattern of Fe2CoAs2O14 (a crystal structure in the Materials Project, relaxed with PBE+U; Cu Ka).
Lines closer than 0.1° are merged.

Structural model:
```
38
Lattice="9.661 0.000 0.000 0.000 9.691 0.000 -0.609 0.000 5.564" Properties=species:S:1:pos:R:3 pbc="T T T"
Fe 0.388 1.409 0.851
Fe 0.083 3.436 3.633
Fe 8.969 6.255 1.930
Fe 8.665 8.282 4.712
Co 4.526 0.000 2.782
Co 4.831 4.846 0.000
As 1.611 0.670 3.689
As 1.916 4.176 0.907
As 7.137 5.516 4.656
As 7.441 9.021 1.874
O 0.212 7.144 0.446
O -0.093 7.393 3.228
O 0.553 0.067 4.937
O 0.858 4.779 2.155
O 1.217 0.144 2.099
O 0.913 4.701 4.881
O 1.765 2.376 3.816
O 2.070 2.470 1.034
O 3.467 4.889 1.273
O 3.163 9.648 4.055
O 3.345 6.268 4.646
O 3.650 8.269 1.864
O 4.204 6.756 5.488
O 4.509 7.781 2.706
O 4.544 1.910 2.857
O 4.848 2.935 0.075
O 5.403 1.422 3.700
O 5.707 3.424 0.918
O 5.890 0.043 1.509
O 5.585 4.803 4.291
O 6.983 7.221 4.530
O 7.287 7.315 1.748
O 8.140 4.990 0.682
O 7.835 9.547 3.464
O 8.195 4.912 3.408
O 8.499 9.625 0.627
O 9.145 2.298 2.336
O 8.841 2.548 5.117
```

Most intense lines, 2θ = 15–90°, by angle:
| Position (°2θ) | intensity |
| --- | --- |
| 18.4 | 71 |
| 20.6 | 33 |
| 21.4 | 100 |
| 25.5 | 20 |
| 29.6 | 25 |
| 32.1 | 59 |
| 33.5 | 29 |
| 33.6 | 18 |
| 35.5 | 20 |
| 38.7 | 25 |

(4)
Structure and computed X-ray diffraction stick pattern of KCo2As2HO8 (a crystal structure in the Materials Project, relaxed with PBE+U; Cu Ka).
Lines closer than 0.1° are merged.

Structural model:
```
56
Lattice="8.899 0.000 0.000 0.000 5.083 0.000 -1.886 0.000 15.968" Properties=species:S:1:pos:R:3 pbc="T T T"
K -0.471 0.666 3.992
K -1.414 4.417 11.976
K 3.035 0.819 11.976
K 3.978 4.263 3.992
Co -0.193 1.212 8.072
Co 0.750 3.870 0.088
Co 2.766 1.226 7.991
Co 3.709 3.856 0.007
Co 3.304 1.226 15.962
Co 4.247 3.856 7.978
Co 6.263 1.212 15.881
Co 7.206 3.870 7.896
As 0.336 1.397 14.309
As 1.279 3.685 6.324
As 2.230 1.372 1.769
As 1.287 3.711 9.754
As 5.726 1.372 6.215
As 4.784 3.711 14.199
As 5.735 1.397 9.644
As 6.678 3.685 1.660
H 0.682 2.398 12.128
H 1.625 2.685 4.144
H 5.388 2.398 11.824
H 6.331 2.685 3.840
O -1.075 0.469 14.707
O -0.132 4.614 6.723
O 0.768 2.090 1.142
O -0.175 2.993 9.127
O 0.282 1.498 12.562
O 1.225 3.584 4.578
O 1.271 2.040 6.841
O 0.328 3.043 14.826
O 1.316 0.311 9.281
O 2.259 4.772 1.297
O 2.196 1.514 3.468
O 1.253 3.569 11.452
O 1.770 0.509 14.723
O 2.713 4.574 6.739
O 3.685 2.129 1.182
O 2.742 2.954 9.166
O 4.271 2.129 6.802
O 3.328 2.954 14.787
O 4.301 0.509 9.230
O 5.243 4.574 1.245
O 5.760 1.514 4.517
O 4.817 3.569 12.501
O 4.754 0.311 14.672
O 5.697 4.772 6.687
O 6.685 2.040 1.143
O 5.743 3.043 9.127
O 5.788 1.498 11.391
O 6.731 3.584 3.407
O 7.188 2.090 6.842
O 6.246 2.993 14.826
O 7.145 0.469 9.246
O 8.088 4.614 1.261
```

Most intense lines, 2θ = 15–90°, by angle:
| Position (°2θ) | intensity |
| --- | --- |
| 21.2 | 25 |
| 25.5 | 29 |
| 27.0 | 98 |
| 28.3 | 53 |
| 31.9 | 38 |
| 33.7 | 71 |
| 35.1 | 100 |
| 35.3 | 43 |
| 35.7 | 30 |
| 45.9 | 27 |

(5)
Structure and computed X-ray diffraction stick pattern of NaCo3As3H2O12 (a crystal structure in the Materials Project, relaxed with PBE+U; Cu Ka).
Lines closer than 0.1° are merged.

Structural model:
```
42
Lattice="6.092 -6.248 0.000 6.092 6.248 0.000 -2.717 0.000 6.355" Properties=species:S:1:pos:R:3 pbc="T T T"
Na 4.054 6.193 4.766
Na 5.413 -6.193 1.589
Co 0.853 2.028 3.907
Co 5.413 2.776 1.589
Co 2.211 -2.028 0.729
Co 7.255 2.028 5.625
Co 4.054 -2.776 4.766
Co 8.614 -2.028 2.448
As 2.359 1.428 0.709
As 4.054 2.317 4.766
As 1.001 -1.428 3.886
As 8.466 1.428 2.468
As 5.413 -2.317 1.589
As 7.107 -1.428 5.646
H 4.178 0.056 1.246
H 2.820 -0.056 4.423
H 6.647 0.056 1.932
H 5.288 -0.056 5.109
O 1.709 2.354 1.994
O 3.884 4.024 0.813
O 0.167 0.064 3.768
O 1.526 -0.064 0.591
O 4.238 3.286 3.335
O 3.870 3.286 6.197
O 4.068 1.146 1.051
O 2.684 1.269 4.622
O 6.941 4.024 2.364
O 0.351 -2.354 5.172
O 2.710 -1.146 4.229
O 4.043 -1.269 1.445
O 5.424 1.269 4.909
O 6.757 1.146 2.126
O 9.116 2.354 1.183
O 2.526 -4.024 3.991
O 6.782 -1.269 1.732
O 5.398 -1.146 5.303
O 5.596 -3.286 0.158
O 5.229 -3.286 3.019
O 7.941 0.064 5.763
O 9.299 -0.064 2.586
O 5.582 -4.024 5.541
O 7.757 -2.354 4.360
```

Most intense lines, 2θ = 15–90°, by angle:
| Position (°2θ) | intensity |
| --- | --- |
| 15.8 | 28 |
| 24.9 | 35 |
| 26.9 | 100 |
| 28.4 | 26 |
| 31.9 | 41 |
| 32.2 | 65 |
| 32.8 | 72 |
| 33.3 | 33 |
| 33.8 | 55 |
| 53.4 | 32 |

(6)
Structure and computed X-ray diffraction stick pattern of Co2AsHO5 (a crystal structure in the Materials Project, relaxed with PBE+U; Cu Ka).
Lines closer than 0.1° are merged.

Structural model:
```
36
Lattice="8.411 0.000 0.000 0.000 8.673 0.000 0.000 0.000 6.154" Properties=species:S:1:pos:R:3 pbc="T T T"
Co 0.000 0.000 1.508
Co 0.000 0.000 4.646
Co 1.145 3.236 0.000
Co 3.060 7.573 3.077
Co 4.206 4.337 1.569
Co 4.206 4.337 4.585
Co 5.351 1.101 3.077
Co 7.266 5.437 0.000
As 2.106 2.124 3.077
As 2.100 6.461 0.000
As 6.311 2.213 0.000
As 6.305 6.549 3.077
H 1.831 0.820 0.000
H 2.374 5.156 3.077
H 6.037 3.517 3.077
H 6.580 7.854 0.000
O 0.616 1.249 3.077
O 0.862 5.259 0.000
O 0.901 1.127 0.000
O 1.929 7.482 1.385
O 1.929 7.482 4.769
O 2.276 3.145 1.692
O 2.276 3.145 4.462
O 3.305 5.464 3.077
O 3.344 0.922 3.077
O 3.590 5.586 0.000
O 4.822 3.087 0.000
O 5.067 7.751 3.077
O 5.106 3.209 3.077
O 6.135 5.528 1.692
O 6.135 5.528 4.462
O 6.482 1.192 1.385
O 6.482 1.192 4.769
O 7.511 7.546 0.000
O 7.549 3.415 0.000
O 7.795 7.424 3.077
```

Most intense lines, 2θ = 15–90°, by angle:
| Position (°2θ) | intensity |
| --- | --- |
| 17.7 | 48 |
| 17.9 | 56 |
| 20.6 | 64 |
| 29.6 | 100 |
| 32.7 | 73 |
| 33.6 | 29 |
| 35.8 | 55 |
| 35.9 | 60 |
| 36.7 | 47 |
| 56.3 | 43 |

(7)
Structure and computed X-ray diffraction stick pattern of SrCoAsHO5 (a crystal structure in the Materials Project, relaxed with PBE+U; Cu Ka).
Lines closer than 0.1° are merged.

Structural model:
```
36
Lattice="6.134 0.000 0.000 0.000 7.744 0.000 0.000 0.000 9.320" Properties=species:S:1:pos:R:3 pbc="T T T"
Sr 0.162 1.042 1.551
Sr 2.905 6.702 6.211
Sr 3.229 2.830 7.769
Sr 5.972 4.913 3.109
Co 1.490 2.001 4.718
Co 1.577 5.743 0.058
Co 4.557 1.871 4.602
Co 4.644 5.873 9.262
As 0.082 4.781 6.396
As 2.985 2.963 1.736
As 3.149 6.835 2.924
As 6.053 0.909 7.584
H 0.062 7.734 4.519
H 3.005 0.009 9.179
H 3.129 3.881 4.801
H 6.072 3.863 0.141
O 0.019 0.844 4.032
O 0.047 7.283 8.666
O 0.402 6.101 5.336
O 1.416 1.084 6.727
O 1.475 4.702 7.424
O 1.592 3.042 2.764
O 1.651 6.660 2.067
O 2.665 1.643 0.676
O 3.020 0.461 4.006
O 3.048 6.900 8.692
O 3.086 3.028 5.288
O 3.114 4.333 0.654
O 3.469 5.515 3.984
O 4.483 2.788 2.593
O 4.542 6.914 1.896
O 4.659 0.830 6.556
O 4.718 4.956 7.253
O 5.732 2.229 8.644
O 6.087 3.411 5.314
O 6.115 4.716 0.628
```

Most intense lines, 2θ = 15–90°, by angle:
| Position (°2θ) | intensity |
| --- | --- |
| 20.8 | 35 |
| 27.2 | 100 |
| 31.0 | 70 |
| 32.8 | 61 |
| 33.4 | 44 |
| 34.4 | 50 |
| 48.2 | 21 |
| 51.1 | 20 |
| 55.1 | 47 |
| 59.2 | 20 |